Entry 1:
Theoretical X-ray powder pattern of Sm3Hg2Pt3 for Cu Kα, 1.54184 Å, from the PBE geometry in Alexandria.

Principal peaks in the range 2θ = 10–80°, sorted by position:
d_spacing  2θ (°)  Rel. int.
7.509  11.79  296
2.970  30.08  126
2.561  35.04  275
2.503  35.88  1000
2.450  36.67  911
1.914  47.50  124
1.751  52.24  288
1.445  64.48  117
1.435  65.00  282
1.277  74.25  247

```
Sm3Hg2Pt3
1.0
8.6709 0.0000 0.0000
-4.3355 7.5093 0.0000
0.0000 0.0000 5.9408
Sm Hg Pt
6 4 6
Cartesian
-1.2681 2.1965 1.4852
-3.0673 5.3128 4.4556
2.5363 0.0000 1.4852
1.2681 2.1965 4.4556
6.1347 0.0000 4.4556
3.0673 5.3128 1.4852
0.0000 5.0062 0.0000
0.0000 5.0062 2.9704
4.3355 2.5031 0.0000
4.3355 2.5031 2.9704
-1.5803 2.7372 4.4556
-2.7551 4.7720 1.4852
3.1607 0.0000 4.4556
1.5803 2.7372 1.4852
5.5103 0.0000 1.4852
2.7551 4.7720 4.4556
```

=====

Entry 2:
Theoretical X-ray powder pattern of PrSmCo4Ni6 for Cu Kα, 1.54184 Å, from the PBE geometry in Alexandria.

Principal peaks in the range 2θ = 10–80°, sorted by position:
d_spacing  2θ (°)  Rel. int.
2.921  30.61  504
2.479  36.24  304
2.147  42.09  370
2.105  42.97  1000
1.993  45.52  270
1.553  59.52  139
1.503  61.72  137
1.460  63.72  208
1.347  69.83  220
1.239  76.92  157

```
PrSmCo4Ni6
1.0
3.9851 0.0000 0.0000
0.0000 4.9585 0.0000
0.0000 0.0000 8.5864
Pr Sm Co Ni
1 1 4 6
Cartesian
0.0000 0.0000 0.0000
0.0000 2.4792 4.2932
0.0000 0.0000 2.8822
0.0000 0.0000 5.7042
0.0000 2.4792 1.4635
0.0000 2.4792 7.1229
1.9925 0.0000 4.2932
1.9925 1.2458 2.1656
1.9925 1.2458 6.4208
1.9925 2.4792 0.0000
1.9925 3.7127 2.1656
1.9925 3.7127 6.4208
```

=====

Entry 3:
Theoretical X-ray powder pattern of Rb2BaPdF6 for Cu Kα, 1.54184 Å, from the PBE geometry in Alexandria.

Principal peaks in the range 2θ = 10–80°, sorted by position:
d_spacing  2θ (°)  Rel. int.
3.529  25.24  1000
3.195  27.92  389
2.825  31.68  270
2.260  39.90  277
2.116  42.73  234
1.903  47.80  334
1.764  51.81  240
1.738  52.66  142
1.378  68.05  127
1.275  74.40  102

```
Rb2BaPdF6
1.0
-3.1955 3.1955 5.6492
3.1955 -3.1955 5.6492
3.1955 3.1955 -5.6492
Rb Ba Pd F
2 1 1 6
Cartesian
3.1955 0.0000 2.8246
0.0000 3.1955 2.8246
0.0000 0.0000 0.0000
0.0000 0.0000 5.6492
0.0000 0.0000 2.5278
1.7872 1.7872 0.0000
1.4083 -1.4083 5.6492
-1.4083 1.4083 5.6492
1.4083 1.4083 5.6492
0.0000 0.0000 8.7706
```